PmNdMg2: simulated X-ray diffraction stick pattern (Cu Kα), based on a cell relaxed with GGA-PBE.
Kinematic intensities with the Lorentz-polarization factor, no thermal factor.

Structure:
Unit cell a=3.8792 b=3.8792 c=7.7603 alpha=90.00 beta=90.00 gamma=90.00
Fractional positions:
Pm 0.0000 0.0000 0.0000
Nd 0.0000 0.0000 0.5000
Mg 0.5000 0.5000 0.2469
Mg 0.5000 0.5000 0.7531

The 10 most intense peaks (15° ≤ 2θ ≤ 90°), in order of falling intensity:
32.6 deg, I = 100; 22.9 deg, I = 59; 58.3 deg, I = 38; 52.8 deg, I = 25; 40.3 deg, I = 18; 46.8 deg, I = 18; 77.9 deg, I = 16; 73.2 deg, I = 12; 68.4 deg, I = 12; 82.5 deg, I = 7

=====

Pm5Nd2Mg: simulated X-ray diffraction stick pattern (Cu Kα), based on a cell relaxed with GGA-PBE.
Kinematic intensities with the Lorentz-polarization factor, no thermal factor.

Structure:
Unit cell a=7.2068 b=7.2068 c=7.2068 alpha=120.12 beta=120.12 gamma=89.79
Fractional positions:
Pm 0.0000 0.0000 0.0000
Pm 0.0000 0.0000 0.5000
Pm 0.0000 0.5000 0.0000
Pm 0.5000 0.0000 0.0000
Pm 0.5000 0.5000 0.5000
Nd 0.0000 0.5000 0.5000
Nd 0.5000 0.0000 0.5000
Mg 0.5000 0.5000 0.0000

The 10 most intense peaks (15° ≤ 2θ ≤ 90°), in order of falling intensity:
30.4 deg, I = 100; 35.3 deg, I = 34; 60.3 deg, I = 28; 50.7 deg, I = 24; 35.2 deg, I = 17; 60.2 deg, I = 14; 63.3 deg, I = 12; 50.8 deg, I = 12; 82.5 deg, I = 12; 85.3 deg, I = 11

=====

PmNd3Mg4: simulated X-ray diffraction stick pattern (Cu Kα), based on a cell relaxed with GGA-PBE.
Kinematic intensities with the Lorentz-polarization factor, no thermal factor.

Structure:
Unit cell a=3.8923 b=5.4821 c=10.9647 alpha=90.00 beta=90.00 gamma=90.00
Fractional positions:
Pm 0.0000 0.0000 0.0000
Nd 0.0000 0.0000 0.5000
Nd 0.0000 0.5000 0.2496
Nd 0.0000 0.5000 0.7504
Mg 0.5000 0.0000 0.2493
Mg 0.5000 0.0000 0.7507
Mg 0.5000 0.5000 0.0000
Mg 0.5000 0.5000 0.5000

The 10 most intense peaks (15° ≤ 2θ ≤ 90°), in order of falling intensity:
32.6 deg, I = 100; 22.9 deg, I = 59; 58.3 deg, I = 25; 40.2 deg, I = 18; 52.8 deg, I = 17; 58.1 deg, I = 13; 46.9 deg, I = 12; 77.9 deg, I = 11; 52.6 deg, I = 8; 68.3 deg, I = 8

=====

PmNd5Mg6: simulated X-ray diffraction stick pattern (Cu Kα), based on a cell relaxed with GGA-PBE.
Kinematic intensities with the Lorentz-polarization factor, no thermal factor.

Structure:
Unit cell a=8.6777 b=8.6777 c=7.7875 alpha=90.00 beta=90.00 gamma=143.13
Fractional positions:
Pm 0.0000 0.0000 0.0000
Nd 0.0000 0.0000 0.5000
Nd 0.3332 0.6668 0.5000
Nd 0.3337 0.6663 0.0000
Nd 0.6663 0.3337 0.0000
Nd 0.6668 0.3332 0.5000
Mg 0.1666 0.8334 0.2490
Mg 0.1666 0.8334 0.7510
Mg 0.5000 0.5000 0.2490
Mg 0.5000 0.5000 0.7510
Mg 0.8334 0.1666 0.2490
Mg 0.8334 0.1666 0.7510

The 10 most intense peaks (15° ≤ 2θ ≤ 90°), in order of falling intensity:
32.6 deg, I = 100; 22.9 deg, I = 59; 58.2 deg, I = 25; 40.2 deg, I = 18; 52.7 deg, I = 17; 58.1 deg, I = 13; 46.8 deg, I = 12; 77.8 deg, I = 11; 73.1 deg, I = 10; 52.6 deg, I = 8

=====

Pm2NdMg4: simulated X-ray diffraction stick pattern (Cu Kα), based on a cell relaxed with GGA-PBE.
Kinematic intensities with the Lorentz-polarization factor, no thermal factor.

Structure:
Unit cell a=7.2227 b=7.2227 c=5.5868 alpha=90.00 beta=90.00 gamma=130.18
Fractional positions:
Pm 0.1355 0.8645 0.0000
Pm 0.8645 0.1355 0.0000
Nd 0.5000 0.5000 0.5000
Mg 0.2551 0.7449 0.5000
Mg 0.3832 0.6168 0.0000
Mg 0.6168 0.3832 0.0000
Mg 0.7449 0.2551 0.5000

The 10 most intense peaks (15° ≤ 2θ ≤ 90°), in order of falling intensity:
22.6 deg, I = 100; 31.7 deg, I = 67; 43.7 deg, I = 55; 25.1 deg, I = 54; 29.4 deg, I = 43; 32.0 deg, I = 34; 41.1 deg, I = 29; 44.0 deg, I = 28; 65.3 deg, I = 16; 53.8 deg, I = 16

=====

Pm2Nd5Mg: simulated X-ray diffraction stick pattern (Cu Kα), based on a cell relaxed with GGA-PBE.
Kinematic intensities with the Lorentz-polarization factor, no thermal factor.

Structure:
Unit cell a=8.6179 b=7.3239 c=6.8720 alpha=74.68 beta=55.05 gamma=50.27
Fractional positions:
Pm 0.2395 0.7605 0.2395
Pm 0.7605 0.2395 0.7605
Nd 0.2519 0.2519 0.2481
Nd 0.3428 0.3428 0.6572
Nd 0.3463 0.8232 0.6537
Nd 0.7519 0.7519 0.7481
Nd 0.8232 0.3463 0.1768
Mg 0.8349 0.8349 0.1651

The 10 most intense peaks (15° ≤ 2θ ≤ 90°), in order of falling intensity:
32.2 deg, I = 100; 32.1 deg, I = 54; 30.7 deg, I = 38; 55.5 deg, I = 31; 28.2 deg, I = 27; 42.2 deg, I = 25; 59.6 deg, I = 23; 49.8 deg, I = 20; 60.7 deg, I = 17; 28.1 deg, I = 11

=====

Pm4Nd7Mg: simulated X-ray diffraction stick pattern (Cu Kα), based on a cell relaxed with GGA-PBE.
Kinematic intensities with the Lorentz-polarization factor, no thermal factor.

Structure:
Unit cell a=5.7466 b=5.7466 c=14.3118 alpha=90.00 beta=90.00 gamma=120.00
Fractional positions:
Pm 0.3333 0.6667 0.1846
Pm 0.3333 0.6667 0.4304
Pm 0.6667 0.3333 0.5696
Pm 0.6667 0.3333 0.8154
Nd 0.0000 0.0000 0.2292
Nd 0.0000 0.0000 0.5000
Nd 0.0000 0.0000 0.7708
Nd 0.3333 0.6667 0.6754
Nd 0.3333 0.6667 0.9257
Nd 0.6667 0.3333 0.0743
Nd 0.6667 0.3333 0.3246
Mg 0.0000 0.0000 0.0000

The 10 most intense peaks (15° ≤ 2θ ≤ 90°), in order of falling intensity:
31.1 deg, I = 100; 30.8 deg, I = 98; 55.2 deg, I = 41; 44.3 deg, I = 37; 55.4 deg, I = 20; 73.5 deg, I = 17; 54.5 deg, I = 14; 64.9 deg, I = 12; 73.0 deg, I = 11; 64.1 deg, I = 8

=====

Pm8Nd6Mg: simulated X-ray diffraction stick pattern (Cu Kα), based on a cell relaxed with GGA-PBE.
Kinematic intensities with the Lorentz-polarization factor, no thermal factor.

Structure:
Unit cell a=9.5441 b=9.5441 c=6.5653 alpha=90.00 beta=90.00 gamma=120.00
Fractional positions:
Pm 0.0380 0.2693 0.1803
Pm 0.2313 0.9620 0.1803
Pm 0.2693 0.2313 0.8197
Pm 0.3333 0.6667 0.1386
Pm 0.6667 0.3333 0.8614
Pm 0.7307 0.7687 0.1803
Pm 0.7687 0.0380 0.8197
Pm 0.9620 0.7307 0.8197
Nd 0.0904 0.4449 0.6725
Nd 0.3546 0.9096 0.6725
Nd 0.4449 0.3546 0.3275
Nd 0.5551 0.6454 0.6725
Nd 0.6454 0.0904 0.3275
Nd 0.9096 0.5551 0.3275
Mg 0.0000 0.0000 0.5000

The 10 most intense peaks (15° ≤ 2θ ≤ 90°), in order of falling intensity:
31.7 deg, I = 100; 33.1 deg, I = 31; 28.6 deg, I = 28; 29.3 deg, I = 16; 50.6 deg, I = 16; 58.3 deg, I = 13; 27.2 deg, I = 13; 65.1 deg, I = 12; 25.5 deg, I = 12; 61.0 deg, I = 12

=====

Pm5NdMg: simulated X-ray diffraction stick pattern (Cu Kα), based on a cell relaxed with GGA-PBE.
Kinematic intensities with the Lorentz-polarization factor, no thermal factor.

Structure:
Unit cell a=5.6516 b=6.7737 c=13.4691 alpha=95.68 beta=90.02 gamma=114.63
Fractional positions:
Pm 0.0644 0.1290 0.1322
Pm 0.0646 0.1293 0.6328
Pm 0.2426 0.4854 0.9260
Pm 0.2428 0.4858 0.4258
Pm 0.3653 0.7294 0.1936
Pm 0.6347 0.2706 0.8064
Pm 0.7572 0.5142 0.5742
Pm 0.7574 0.5146 0.0740
Pm 0.9354 0.8707 0.3672
Pm 0.9356 0.8710 0.8678
Nd 0.3655 0.7298 0.6940
Nd 0.6345 0.2702 0.3060
Mg 0.5000 0.0000 0.0000
Mg 0.5000 0.0000 0.5000

The 10 most intense peaks (15° ≤ 2θ ≤ 90°), in order of falling intensity:
31.2 deg, I = 100; 31.7 deg, I = 27; 44.7 deg, I = 24; 30.8 deg, I = 23; 56.1 deg, I = 19; 29.0 deg, I = 12; 55.0 deg, I = 12; 55.3 deg, I = 9; 55.8 deg, I = 8; 65.1 deg, I = 8

=====

PmNd6Mg2: simulated X-ray diffraction stick pattern (Cu Kα), based on a cell relaxed with GGA-PBE.
Kinematic intensities with the Lorentz-polarization factor, no thermal factor.

Structure:
Unit cell a=6.1743 b=6.1743 c=8.8446 alpha=90.00 beta=90.00 gamma=119.84
Fractional positions:
Pm 0.0000 0.0000 0.0000
Nd 0.1584 0.3288 0.3382
Nd 0.3273 0.6727 0.0000
Nd 0.3288 0.1584 0.6617
Nd 0.6712 0.8416 0.6617
Nd 0.6727 0.3273 0.0000
Nd 0.8416 0.6712 0.3382
Mg 0.0000 0.5000 0.6713
Mg 0.5000 0.0000 0.3287

The 10 most intense peaks (15° ≤ 2θ ≤ 90°), in order of falling intensity:
30.6 deg, I = 100; 35.4 deg, I = 67; 30.3 deg, I = 38; 50.8 deg, I = 24; 19.4 deg, I = 20; 28.9 deg, I = 16; 60.3 deg, I = 14; 68.6 deg, I = 14; 52.3 deg, I = 14; 55.5 deg, I = 12

=====

Pm8Nd3Mg: simulated X-ray diffraction stick pattern (Cu Kα), based on a cell relaxed with GGA-PBE.
Kinematic intensities with the Lorentz-polarization factor, no thermal factor.

Structure:
Unit cell a=6.2837 b=6.2891 c=10.8519 alpha=89.93 beta=73.18 gamma=80.46
Fractional positions:
Pm 0.0007 0.2462 0.4184
Pm 0.0010 0.2511 0.0837
Pm 0.4962 0.4984 0.3377
Pm 0.4966 0.9979 0.1706
Pm 0.5034 0.0021 0.8294
Pm 0.5038 0.5016 0.6623
Pm 0.9990 0.7489 0.9163
Pm 0.9993 0.7538 0.5816
Nd 0.0041 0.2566 0.7478
Nd 0.5000 0.5000 0.0000
Nd 0.9959 0.7434 0.2522
Mg 0.5000 0.0000 0.5000

The 10 most intense peaks (15° ≤ 2θ ≤ 90°), in order of falling intensity:
30.2 deg, I = 100; 35.0 deg, I = 34; 50.3 deg, I = 30; 59.7 deg, I = 18; 59.9 deg, I = 18; 35.1 deg, I = 17; 81.8 deg, I = 7; 81.9 deg, I = 7; 60.0 deg, I = 7; 84.4 deg, I = 7

=====

Pm2NdMg6: simulated X-ray diffraction stick pattern (Cu Kα), based on a cell relaxed with GGA-PBE.
Kinematic intensities with the Lorentz-polarization factor, no thermal factor.

Structure:
Unit cell a=9.2003 b=9.2003 c=3.3303 alpha=90.00 beta=90.00 gamma=120.00
Fractional positions:
Pm 0.3333 0.6667 0.0000
Pm 0.6667 0.3333 0.0000
Nd 0.0000 0.0000 0.0000
Mg 0.0000 0.3339 0.5000
Mg 0.0000 0.6661 0.5000
Mg 0.3339 0.0000 0.5000
Mg 0.3339 0.3339 0.5000
Mg 0.6661 0.0000 0.5000
Mg 0.6661 0.6661 0.5000

The 10 most intense peaks (15° ≤ 2θ ≤ 90°), in order of falling intensity:
33.2 deg, I = 100; 19.3 deg, I = 93; 33.7 deg, I = 63; 60.0 deg, I = 36; 48.1 deg, I = 35; 66.2 deg, I = 18; 39.2 deg, I = 16; 80.6 deg, I = 15; 43.6 deg, I = 14; 52.6 deg, I = 13

=====

PmPr2Nd5Mg: simulated X-ray diffraction stick pattern (Cu Kα), based on a cell relaxed with GGA-PBE.
Kinematic intensities with the Lorentz-polarization factor, no thermal factor.

Structure:
Unit cell a=10.6028 b=10.6028 c=10.8673 alpha=90.00 beta=90.00 gamma=149.18
Fractional positions:
Pm 0.1995 0.8005 0.7500
Pm 0.8005 0.1995 0.2500
Pr 0.1151 0.8849 0.0402
Pr 0.1151 0.8849 0.4598
Pr 0.8849 0.1151 0.5402
Pr 0.8849 0.1151 0.9598
Nd 0.0135 0.9865 0.7500
Nd 0.2878 0.7122 0.0526
Nd 0.2878 0.7122 0.4474
Nd 0.3804 0.6196 0.7500
Nd 0.5000 0.5000 0.0000
Nd 0.5000 0.5000 0.5000
Nd 0.6196 0.3804 0.2500
Nd 0.7122 0.2878 0.5526
Nd 0.7122 0.2878 0.9474
Nd 0.9865 0.0135 0.2500
Mg 0.4053 0.5947 0.2500
Mg 0.5947 0.4053 0.7500

The 10 most intense peaks (15° ≤ 2θ ≤ 90°), in order of falling intensity:
31.7 deg, I = 100; 29.6 deg, I = 32; 56.5 deg, I = 17; 27.4 deg, I = 13; 33.0 deg, I = 12; 58.1 deg, I = 11; 60.2 deg, I = 9; 46.4 deg, I = 9; 42.5 deg, I = 9; 49.8 deg, I = 8

=====

PmNd2Sm2Mg: simulated X-ray diffraction stick pattern (Cu Kα), based on a cell relaxed with GGA-PBE.
Kinematic intensities with the Lorentz-polarization factor, no thermal factor.

Structure:
Unit cell a=6.1975 b=18.9317 c=3.4516 alpha=90.00 beta=90.00 gamma=90.00
Fractional positions:
Pm 0.0000 0.0000 0.0000
Pm 0.5000 0.5000 0.5000
Nd 0.1668 0.3628 0.5000
Nd 0.3332 0.8628 0.0000
Nd 0.6668 0.1372 0.0000
Nd 0.8332 0.6372 0.5000
Sm 0.1660 0.2010 0.0000
Sm 0.3340 0.7010 0.5000
Sm 0.6660 0.2990 0.5000
Sm 0.8340 0.7990 0.0000
Mg 0.0000 0.5000 0.0000
Mg 0.5000 0.0000 0.5000

The 10 most intense peaks (15° ≤ 2θ ≤ 90°), in order of falling intensity:
26.2 deg, I = 100; 29.2 deg, I = 92; 31.8 deg, I = 85; 35.3 deg, I = 75; 53.1 deg, I = 69; 40.3 deg, I = 63; 29.5 deg, I = 61; 27.6 deg, I = 59; 32.9 deg, I = 58; 41.7 deg, I = 48